# K2NaAlH6
Calculated powder XRD pattern, Cu Kα (weighted mean of Kα1 and Kα2). Input: a DFT-relaxed cell (GGA-PBE, the Materials Project).
Kinematic intensities with the Lorentz-polarization factor, no thermal factor.

```
data_K2NaAlH6
_space_group_name_H-M_alt 'F m -3 m'
_space_group_IT_number 225
_space_group_name_Hall '-F 4 2 3'
_cell_length_a 8.127
_cell_length_b 8.127
_cell_length_c 8.127
_cell_angle_alpha 90.00
_cell_angle_beta 90.00
_cell_angle_gamma 90.00
loop_
_atom_site_label
_atom_site_fract_x
_atom_site_fract_y
_atom_site_fract_z
K1 0.250 0.250 0.250
Na1 0.000 0.000 0.000
Al1 0.000 0.000 0.500
H1 0.000 0.000 0.282
```

Most intense lines, 2θ = 10–90°, by intensity:
d 2.873, intensity 100.0
d 1.659, intensity 33.7
d 2.032, intensity 19.3
d 1.285, intensity 13.5
d 1.437, intensity 10.8
d 4.063, intensity 5.4
d 1.173, intensity 3.4
d 2.346, intensity 2.8
d 1.817, intensity 1.8
d 1.354, intensity 0.7
d 1.225, intensity 0.5